1.
For SbPdF, a DFT-relaxed cell (PBE, Alexandria) gives the theoretical powder X-ray diffraction pattern in this record (Cu Kα (λ = 1.5418 Å)).

Most intense lines, 10° ≤ 2θ ≤ 90°, by angle:
| Position (°2θ) | I (rel.) |
| --- | --- |
| 16.1 | 1000 |
| 20.0 | 571 |
| 34.8 | 284 |
| 37.4 | 512 |
| 37.8 | 475 |
| 38.6 | 211 |
| 49.0 | 202 |
| 51.1 | 276 |

Structural model:
```
6
Lattice="3.218 0.000 0.000 0.000 7.569 0.000 -1.440 0.000 5.491" Properties=species:S:1:pos:R:3 pbc="T T T"
Sb 0.002 0.000 0.553
Sb 1.777 3.784 4.937
Pd 0.172 1.669 4.699
Pd 1.606 5.453 0.791
F 0.003 0.921 2.334
F 1.775 4.705 3.156
```

2.
For ScTlPdF6, a DFT-relaxed cell (PBE, Alexandria) gives the theoretical powder X-ray diffraction pattern in this record (Cu Kα (λ = 1.5418 Å)).

Most intense lines, 10° ≤ 2θ ≤ 90°, by angle:
| Position (°2θ) | I (rel.) |
| --- | --- |
| 17.0 | 295 |
| 22.5 | 1000 |
| 23.4 | 781 |
| 24.0 | 740 |
| 28.8 | 303 |
| 30.8 | 203 |
| 31.3 | 211 |
| 31.5 | 212 |

Structural model:
```
9
Lattice="5.705 0.000 0.000 -2.362 5.230 0.000 -0.145 -0.232 5.815" Properties=species:S:1:pos:R:3 pbc="T T T"
Sc 0.000 0.000 0.000
Tl 2.935 1.630 2.904
Pd 0.230 3.220 5.809
F -1.547 3.310 4.867
F 0.792 1.467 4.953
F -0.421 5.048 0.925
F 2.199 3.659 0.861
F 4.275 -0.108 4.381
F 5.091 1.104 1.457
```

3.
For TlSiPdF6, a DFT-relaxed cell (PBE, Alexandria) gives the theoretical powder X-ray diffraction pattern in this record (Cu Kα (λ = 1.5418 Å)).

Most intense lines, 10° ≤ 2θ ≤ 90°, by angle:
| Position (°2θ) | I (rel.) |
| --- | --- |
| 23.6 | 306 |
| 24.3 | 1000 |
| 24.5 | 312 |
| 24.8 | 350 |
| 30.1 | 188 |
| 30.5 | 231 |
| 31.6 | 211 |
| 45.3 | 178 |

Structural model:
```
9
Lattice="5.334 0.000 0.000 0.052 5.666 0.000 0.164 2.774 5.182" Properties=species:S:1:pos:R:3 pbc="T T T"
Tl 0.000 0.000 0.000
Si 2.776 5.659 3.439
Pd 2.697 2.665 1.540
F 1.510 5.178 4.476
F 1.949 7.209 3.248
F 1.953 5.048 2.075
F 3.595 6.337 4.853
F 3.599 4.195 3.660
F 4.026 6.285 2.460
```

4.
For SmPdF, a DFT-relaxed cell (PBE, Alexandria) gives the theoretical powder X-ray diffraction pattern in this record (Cu Kα (λ = 1.5418 Å)).

Most intense lines, 10° ≤ 2θ ≤ 90°, by angle:
| Position (°2θ) | I (rel.) |
| --- | --- |
| 12.3 | 175 |
| 25.5 | 1000 |
| 34.1 | 351 |
| 37.5 | 156 |
| 40.6 | 930 |
| 45.3 | 193 |
| 45.5 | 191 |
| 52.8 | 273 |

Structural model:
```
6
Lattice="3.990 0.000 0.000 0.000 4.002 0.000 0.000 0.000 7.203" Properties=species:S:1:pos:R:3 pbc="T T T"
Sm 0.998 1.001 1.518
Sm 2.993 3.002 5.685
Pd 0.998 3.002 3.597
Pd 2.993 1.001 3.606
F 0.998 3.002 7.199
F 2.993 1.001 0.004
```

5.
For SrPd3F, a DFT-relaxed cell (PBE, Alexandria) gives the theoretical powder X-ray diffraction pattern in this record (Cu Kα (λ = 1.5418 Å)).

Most intense lines, 10° ≤ 2θ ≤ 90°, by angle:
| Position (°2θ) | I (rel.) |
| --- | --- |
| 19.3 | 35 |
| 33.8 | 1000 |
| 39.3 | 599 |
| 44.1 | 14 |
| 56.7 | 397 |
| 67.7 | 394 |
| 71.2 | 132 |
| 84.4 | 62 |

Structural model:
```
5
Lattice="4.589 0.000 0.000 0.000 4.589 0.000 0.000 0.000 4.589" Properties=species:S:1:pos:R:3 pbc="T T T"
Sr 0.000 0.000 0.000
Pd 0.000 2.295 2.295
Pd 2.295 0.000 2.295
Pd 2.295 2.295 0.000
F 2.295 2.295 2.295
```

6.
For SrPdF5, a DFT-relaxed cell (PBE, Alexandria) gives the theoretical powder X-ray diffraction pattern in this record (Cu Kα (λ = 1.5418 Å)).

Most intense lines, 10° ≤ 2θ ≤ 90°, by angle:
| Position (°2θ) | I (rel.) |
| --- | --- |
| 20.5 | 934 |
| 24.8 | 1000 |
| 26.9 | 409 |
| 32.4 | 376 |
| 41.7 | 244 |
| 42.4 | 231 |
| 46.3 | 216 |
| 49.1 | 285 |

Structural model:
```
14
Lattice="4.831 -3.314 0.000 4.831 3.314 0.000 -3.761 0.000 7.656" Properties=species:S:1:pos:R:3 pbc="T T T"
Sr 2.010 3.001 5.742
Sr 3.891 -3.001 1.914
Pd 4.831 0.000 0.000
Pd 2.951 0.000 3.828
F 4.668 1.987 0.165
F 3.113 1.987 3.663
F 1.193 0.098 2.954
F -0.688 -0.098 6.782
F 2.010 0.417 5.742
F 3.891 -0.417 1.914
F 6.589 0.098 0.874
F 4.709 -0.098 4.702
F 2.788 -1.987 3.993
F 1.233 -1.987 7.491
```